# 1
For Na2Li5, the PBE geometry in Alexandria gives the simulated PXRD pattern in this record (Cu Kα (weighted mean of Kα1 and Kα2)).
Kinematic intensities with the Lorentz-polarization factor, no thermal factor.

Structural model:
abc: 14.5689 14.5689 14.5689
angles: 166.34 166.34 19.36
Fractional coordinates of all 7 atoms:
1 Na 0.1994 0.1994 0.0000
2 Na 0.8006 0.8006 0.0000
3 Li 0.0602 0.0602 0.0000
4 Li 0.3805 0.3805 0.0000
5 Li 0.5000 0.5000 0.0000
6 Li 0.6195 0.6195 0.0000
7 Li 0.9398 0.9398 0.0000

Most intense lines, 15° ≤ 2θ ≤ 90°, most intense first:
33.9°, I 100; 30.1°, I 98; 36.7°, I 65; 27.4°, I 61; 48.9°, I 35; 64.3°, I 35; 31.1°, I 23; 52.9°, I 22; 24.8°, I 21; 62.0°, I 21

=====

# 2
For Na7Li3, the PBE geometry in Alexandria gives the simulated PXRD pattern in this record (Cu Kα (weighted mean of Kα1 and Kα2)).
Kinematic intensities with the Lorentz-polarization factor, no thermal factor.

Structural model:
abc: 10.0391 10.0391 7.5687
angles: 90.00 90.00 120.00
Fractional coordinates of all 20 atoms:
1 Na 0.0631 0.5315 0.0000
2 Na 0.1239 0.2478 0.7232
3 Na 0.1239 0.8761 0.7232
4 Na 0.2478 0.1239 0.2232
5 Na 0.3333 0.6667 0.6660
6 Na 0.4685 0.5315 0.0000
7 Na 0.4685 0.9369 0.0000
8 Na 0.5315 0.0631 0.5000
9 Na 0.5315 0.4685 0.5000
10 Na 0.6667 0.3333 0.1660
11 Na 0.7522 0.8761 0.7232
12 Na 0.8761 0.1239 0.2232
13 Na 0.8761 0.7522 0.2232
14 Na 0.9369 0.4685 0.5000
15 Li 0.2280 0.4561 0.3146
16 Li 0.2280 0.7720 0.3146
17 Li 0.4561 0.2280 0.8146
18 Li 0.5439 0.7720 0.3146
19 Li 0.7720 0.2280 0.8146
20 Li 0.7720 0.5439 0.8146

Most intense lines, 15° ≤ 2θ ≤ 90°, most intense first:
29.6°, I 100; 31.3°, I 70; 33.1°, I 46; 25.7°, I 33; 27.1°, I 27; 54.1°, I 21; 35.8°, I 20; 51.8°, I 20; 47.8°, I 17; 15.5°, I 16

=====

# 3
For NaLi7, the PBE geometry in Alexandria gives the simulated PXRD pattern in this record (Cu Kα (weighted mean of Kα1 and Kα2)).
Kinematic intensities with the Lorentz-polarization factor, no thermal factor.

Structural model:
abc: 6.3050 6.3050 6.3050
angles: 60.00 60.00 60.00
Fractional coordinates of all 8 atoms:
1 Na 0.0000 0.0000 0.0000
2 Li 0.0000 0.0000 0.5000
3 Li 0.0000 0.5000 0.0000
4 Li 0.0000 0.5000 0.5000
5 Li 0.5000 0.0000 0.0000
6 Li 0.5000 0.0000 0.5000
7 Li 0.5000 0.5000 0.0000
8 Li 0.5000 0.5000 0.5000

Most intense lines, 15° ≤ 2θ ≤ 90°, most intense first:
34.9°, I 100; 17.2°, I 59; 40.5°, I 49; 33.3°, I 35; 70.0°, I 35; 58.6°, I 32; 19.9°, I 32; 28.3°, I 27; 44.3°, I 15; 45.5°, I 14

=====

# 4
For Na2Li13, the PBE geometry in Alexandria gives the simulated PXRD pattern in this record (Cu Kα (weighted mean of Kα1 and Kα2)).
Kinematic intensities with the Lorentz-polarization factor, no thermal factor.

Structural model:
abc: 8.1885 8.1885 8.1885
angles: 55.69 55.69 55.69
Fractional coordinates of all 15 atoms:
1 Na 0.1636 0.1636 0.1636
2 Na 0.8364 0.8364 0.8364
3 Li 0.0000 0.0000 0.0000
4 Li 0.1678 0.1678 0.5511
5 Li 0.1678 0.5511 0.1678
6 Li 0.3117 0.3117 0.6858
7 Li 0.3117 0.6858 0.3117
8 Li 0.3142 0.6883 0.6883
9 Li 0.4489 0.8322 0.8322
10 Li 0.5511 0.1678 0.1678
11 Li 0.6858 0.3117 0.3117
12 Li 0.6883 0.3142 0.6883
13 Li 0.6883 0.6883 0.3142
14 Li 0.8322 0.4489 0.8322
15 Li 0.8322 0.8322 0.4489

Most intense lines, 15° ≤ 2θ ≤ 90°, most intense first:
26.7°, I 100; 36.1°, I 80; 35.0°, I 71; 23.3°, I 67; 33.2°, I 55; 49.0°, I 46; 28.3°, I 35; 47.6°, I 34; 34.7°, I 33; 43.0°, I 31

=====

# 5
For Na2LiNb, the PBE geometry in Alexandria gives the simulated PXRD pattern in this record (Cu Kα (weighted mean of Kα1 and Kα2)).
Kinematic intensities with the Lorentz-polarization factor, no thermal factor.

Structural model:
abc: 5.1006 5.1006 5.1006
angles: 60.00 60.00 60.00
Fractional coordinates of all 4 atoms:
1 Na 0.2500 0.2500 0.2500
2 Na 0.7500 0.7500 0.7500
3 Li 0.0000 0.0000 0.0000
4 Nb 0.5000 0.5000 0.5000

Most intense lines, 15° ≤ 2θ ≤ 90°, most intense first:
35.2°, I 100; 21.3°, I 89; 41.5°, I 46; 63.1°, I 34; 55.5°, I 19; 50.6°, I 17; 24.7°, I 15; 67.5°, I 14; 85.1°, I 14; 78.4°, I 13

=====

# 6
For NaLiNb4O12, the PBE geometry in Alexandria gives the simulated PXRD pattern in this record (Cu Kα (weighted mean of Kα1 and Kα2)).
Kinematic intensities with the Lorentz-polarization factor, no thermal factor.

Structural model:
abc: 7.9248 5.5150 5.5150
angles: 89.18 90.00 90.00
Fractional coordinates of all 18 atoms:
1 Na 0.0000 0.0000 0.0000
2 Li 0.5000 0.4290 0.4290
3 Nb 0.2532 0.4798 0.9614
4 Nb 0.2532 0.9614 0.4798
5 Nb 0.7468 0.4798 0.9614
6 Nb 0.7468 0.9614 0.4798
7 O 0.0000 0.4851 0.9271
8 O 0.0000 0.9271 0.4851
9 O 0.2311 0.2459 0.2459
10 O 0.2351 0.1605 0.7588
11 O 0.2351 0.7588 0.1605
12 O 0.3053 0.6478 0.6478
13 O 0.5000 0.0284 0.4485
14 O 0.5000 0.4485 0.0284
15 O 0.6947 0.6478 0.6478
16 O 0.7649 0.1605 0.7588
17 O 0.7649 0.7588 0.1605
18 O 0.7689 0.2459 0.2459

Most intense lines, 15° ≤ 2θ ≤ 90°, most intense first:
22.4°, I 100; 22.6°, I 96; 23.0°, I 89; 32.5°, I 58; 32.3°, I 53; 32.1°, I 48; 52.7°, I 34; 45.8°, I 26; 57.3°, I 25; 57.5°, I 24

=====

# 7
For NaLiNi3, the PBE geometry in Alexandria gives the simulated PXRD pattern in this record (Cu Kα (weighted mean of Kα1 and Kα2)).
Kinematic intensities with the Lorentz-polarization factor, no thermal factor.

Structural model:
abc: 4.1536 4.1536 4.1536
angles: 90.00 90.00 90.00
Fractional coordinates of all 5 atoms:
1 Na 0.0000 0.0000 0.0000
2 Li 0.5000 0.5000 0.5000
3 Ni 0.0000 0.5000 0.5000
4 Ni 0.5000 0.0000 0.5000
5 Ni 0.5000 0.5000 0.0000

Most intense lines, 15° ≤ 2θ ≤ 90°, most intense first:
37.5°, I 100; 43.6°, I 53; 76.0°, I 32; 63.3°, I 32; 21.4°, I 15; 80.0°, I 10; 30.4°, I 7; 49.0°, I 6; 67.7°, I 3; 54.1°, I 3

=====

Number 7 is which compound?
NaLiNi3

=====

Which formula does entry 4 have?
Na2Li13